The following is a calculated powder X-ray diffraction pattern of EuTe2Pb. It was derived from DFT lattice parameters and positions (GGA-PBE), using CuKα.
Neutral-atom scattering factors, no anomalous dispersion.

Structural model:
```
data_EuTe2Pb
_chemical_formula_sum 'Eu1 Te2 Pb1'
_cell_length_a 4.666
_cell_length_b 4.666
_cell_length_c 6.557
_cell_angle_alpha 90.00
_cell_angle_beta 90.00
_cell_angle_gamma 90.00
_symmetry_space_group_name_H-M 'P 4/m m m'
_symmetry_Int_Tables_number 123
_symmetry_space_group_name_Hall '-P 4 2'
loop_
_atom_site_label
_atom_site_type_symbol
_atom_site_fract_x
_atom_site_fract_y
_atom_site_fract_z
_atom_site_occupancy
Eu1 Eu 0.000 0.000 0.000 1
Te1 Te 0.000 0.000 0.500 1
Te2 Te 0.500 0.500 0.000 1
Pb1 Pb 0.500 0.500 0.500 1
```

Peak list (8 most intense, 2θ from 10° to 90°, sorted by position)
two_theta  intensity
27.02  100
27.20  49
38.59  39
38.72  78
47.85  42
63.04  37
63.36  18
69.91  28

=====

The following is a calculated powder X-ray diffraction pattern of Ho3Ga8Ir3. It was derived from DFT lattice parameters and positions (GGA-PBE), using CuKα.
Neutral-atom scattering factors, no anomalous dispersion.

Structural model:
```
data_Ho3Ga8Ir3
_chemical_formula_sum 'Ho6 Ga16 Ir6'
_cell_length_a 4.194
_cell_length_b 9.904
_cell_length_c 12.225
_cell_angle_alpha 90.00
_cell_angle_beta 90.00
_cell_angle_gamma 90.00
_symmetry_space_group_name_H-M 'I m m m'
_symmetry_Int_Tables_number 71
_symmetry_space_group_name_Hall '-I 2 2'
loop_
_atom_site_label
_atom_site_type_symbol
_atom_site_fract_x
_atom_site_fract_y
_atom_site_fract_z
_atom_site_occupancy
Ho1 Ho 0.000 0.000 0.000 1
Ho2 Ho 0.000 0.000 0.328 1
Ga1 Ga 0.000 0.287 0.125 1
Ga2 Ga 0.000 0.372 0.335 1
Ir1 Ir 0.000 0.214 0.500 1
Ir2 Ir 0.000 0.500 0.000 1
```

Peak list (8 most intense, 2θ from 10° to 90°, sorted by position)
two_theta  intensity
11.50  22
14.49  25
28.84  16
35.67  100
37.67  19
43.13  30
44.46  17
45.88  17

=====

The following is a calculated powder X-ray diffraction pattern of MgCu2SiS4. It was derived from DFT lattice parameters and positions (GGA-PBE), using CuKα.
Neutral-atom scattering factors, no anomalous dispersion.

Structural model:
```
data_MgCu2SiS4
_chemical_formula_sum 'Mg2 Cu4 Si2 S8'
_cell_length_a 7.567
_cell_length_b 6.458
_cell_length_c 6.204
_cell_angle_alpha 90.00
_cell_angle_beta 90.00
_cell_angle_gamma 90.00
_symmetry_space_group_name_H-M 'P m n 21'
_symmetry_Int_Tables_number 31
loop_
_symmetry_equiv_pos_as_xyz
'x,y,z'
'-x+1/2,-y,z+1/2'
'-x,y,z'
'x+1/2,-y,z+1/2'
loop_
_atom_site_label
_atom_site_type_symbol
_atom_site_fract_x
_atom_site_fract_y
_atom_site_fract_z
_atom_site_occupancy
Mg1 Mg 0.000 0.155 0.000 1
Cu1 Cu 0.248 0.323 0.510 1
Si1 Si 0.000 0.822 0.502 1
S1 S 0.000 0.141 0.398 1
S2 S 0.000 0.806 0.849 1
S3 S 0.229 0.662 0.380 1
```

Peak list (8 most intense, 2θ from 10° to 90°, sorted by position)
two_theta  intensity
19.84  46
27.32  100
27.63  61
28.78  91
30.95  94
48.67  74
52.37  83
52.55  44

=====

The following is a calculated powder X-ray diffraction pattern of Er2Ni12P7. It was derived from DFT lattice parameters and positions (GGA-PBE), using CuKα.
Neutral-atom scattering factors, no anomalous dispersion.

Structural model:
```
data_Er2Ni12P7
_chemical_formula_sum 'Er2 Ni12 P7'
_cell_length_a 9.0217
_cell_length_b 9.0217
_cell_length_c 3.6660
_cell_angle_alpha 90.00
_cell_angle_beta 90.00
_cell_angle_gamma 120.00
_symmetry_space_group_name_H-M 'P -6'
_symmetry_Int_Tables_number 174
loop_
_symmetry_equiv_pos_as_xyz
'x,y,z'
'-x+y,-x,-z'
'-y,x-y,z'
'x,y,-z'
'-x+y,-x,z'
'-y,x-y,-z'
loop_
_atom_site_label
_atom_site_type_symbol
_atom_site_fract_x
_atom_site_fract_y
_atom_site_fract_z
_atom_site_occupancy
Er1 Er 0.0000 0.0000 0.0000 1
Er2 Er 0.3333 0.6667 0.5000 1
Ni1 Ni 0.0489 0.7647 0.5000 1
Ni2 Ni 0.1011 0.3942 0.0000 1
Ni3 Ni 0.3919 0.2113 0.0000 1
Ni4 Ni 0.5437 0.1163 0.5000 1
P1 P 0.0746 0.6271 0.0000 1
P2 P 0.2606 0.0392 0.5000 1
P3 P 0.6667 0.3333 0.0000 1
```

Peak list (8 most intense, 2θ from 10° to 90°, sorted by position)
two_theta  intensity
26.86  12
30.27  10
39.17  100
49.74  17
53.77  16
57.21  10
76.27  11
86.12  10

=====

The following is a calculated powder X-ray diffraction pattern of RbHS. It was derived from DFT lattice parameters and positions (GGA-PBE), using CuKα.
Neutral-atom scattering factors, no anomalous dispersion.

Structural model:
```
data_RbHS
_chemical_formula_sum 'Rb2 H2 S2'
_cell_length_a 7.444
_cell_length_b 5.999
_cell_length_c 3.354
_cell_angle_alpha 90.00
_cell_angle_beta 113.73
_cell_angle_gamma 90.00
_symmetry_space_group_name_H-M 'C 1 2 1'
_symmetry_Int_Tables_number 5
loop_
_symmetry_equiv_pos_as_xyz
'x,y,z'
'-x,y,-z'
'x+1/2,y+1/2,z'
'-x+1/2,y+1/2,-z'
loop_
_atom_site_label
_atom_site_type_symbol
_atom_site_fract_x
_atom_site_fract_y
_atom_site_fract_z
_atom_site_occupancy
Rb1 Rb 0.000 0.000 0.000 1
H1 H 0.000 0.524 0.000 1
S1 S 0.000 0.487 0.500 1
```

Peak list (8 most intense, 2θ from 10° to 90°, sorted by position)
two_theta  intensity
19.72  51
26.15  81
29.79  56
30.57  100
39.69  47
40.05  48
41.61  41
53.36  19